Computed X-ray powder pattern of Pr4S4I3 for Cu Ka, from a structure optimized by DFT (PBE).
Kinematic intensities with the Lorentz-polarization factor, no thermal factor.

Atomic structure:
```
Pr4S4I3
1.0
-2.198 4.290 8.138
2.198 -4.290 8.138
2.198 4.290 -8.138
Pr S I
4 4 3
Cartesian
0.000 0.000 3.702
2.198 2.402 0.000
0.000 1.888 8.138
0.000 0.000 12.573
2.198 1.708 -2.754
2.198 1.708 2.754
0.000 2.582 5.383
0.000 2.582 10.892
0.000 0.000 0.000
2.198 0.000 6.445
0.000 4.290 1.693
```

Most intense lines, 10 to 90 degrees two-theta, sorted by position:
29.35°, intensity 31; 29.61°, intensity 100; 31.73°, intensity 77; 41.06°, intensity 25; 42.09°, intensity 34; 60.26°, intensity 24

Computed X-ray powder pattern of Pr3Si2S8I for Cu Ka, from a structure optimized by DFT (PBE).
Kinematic intensities with the Lorentz-polarization factor, no thermal factor.

Atomic structure:
```
Pr3Si2S8I
1.0
8.026 -3.964 0.000
8.026 3.964 0.000
-1.421 0.000 10.860
Pr Si S I
6 4 16 2
Cartesian
6.960 3.209 8.145
4.382 0.979 3.445
3.672 -0.979 8.875
10.960 0.979 1.985
10.249 -0.979 7.415
7.671 -3.209 2.715
2.529 0.298 0.337
1.819 -0.298 5.767
12.812 0.298 5.093
12.102 -0.298 10.524
1.209 0.780 9.129
6.286 2.767 4.916
4.473 2.025 9.241
3.695 0.551 6.354
9.056 2.767 0.514
1.919 -0.780 3.699
4.405 -0.551 0.924
9.448 2.025 7.050
5.184 -2.025 3.810
10.226 0.551 9.936
12.712 0.780 7.162
5.575 -2.767 10.346
10.937 -0.551 4.506
10.158 -2.025 1.620
8.346 -2.767 5.944
13.422 -0.780 1.731
7.671 0.086 2.715
6.960 -0.086 8.145
```

Most intense lines, 10 to 90 degrees two-theta, sorted by position:
16.32°, intensity 100; 20.95°, intensity 53; 23.90°, intensity 64; 25.98°, intensity 59; 29.26°, intensity 38; 32.19°, intensity 72

Computed X-ray powder pattern of Pr4SbI5 for Cu Ka, from a structure optimized by DFT (PBE).
Kinematic intensities with the Lorentz-polarization factor, no thermal factor.

Atomic structure:
```
Pr4SbI5
1.0
9.877 -2.215 0.000
9.877 2.215 0.000
-1.933 0.000 9.087
Pr Sb I
4 1 5
Cartesian
-0.428 0.000 2.059
18.250 0.000 7.028
5.007 0.000 8.431
12.815 0.000 0.656
9.877 0.000 0.000
2.673 0.000 3.002
1.791 0.000 7.451
8.911 0.000 4.543
16.031 0.000 1.636
15.149 0.000 6.085
```

Most intense lines, 10 to 90 degrees two-theta, sorted by position:
27.70°, intensity 50; 27.84°, intensity 100; 38.79°, intensity 19; 39.28°, intensity 38; 40.07°, intensity 36; 49.98°, intensity 20

Computed X-ray powder pattern of Pr3SbI3 for Cu Ka, from a structure optimized by DFT (PBE).
Kinematic intensities with the Lorentz-polarization factor, no thermal factor.

Atomic structure:
```
Pr3SbI3
1.0
3.831 2.212 11.680
-3.831 2.212 11.680
0.000 -4.423 11.680
Pr Sb I
6 2 6
Cartesian
-1.265 -2.191 15.784
-2.530 0.000 19.256
-1.265 2.191 15.784
1.265 -2.191 19.256
2.530 0.000 15.784
1.265 2.191 19.256
0.000 0.000 5.840
0.000 0.000 29.200
-2.581 0.000 13.746
-1.291 -2.235 21.295
1.290 -2.236 13.746
-1.290 2.236 21.295
1.291 2.235 13.746
2.581 0.000 21.295
```

Most intense lines, 10 to 90 degrees two-theta, sorted by position:
23.22°, intensity 13; 27.85°, intensity 100; 38.78°, intensity 35; 40.80°, intensity 33; 50.13°, intensity 19; 66.54°, intensity 16

Computed X-ray powder pattern of Pr6Sb2Te3I for Cu Ka, from a structure optimized by DFT (PBE).
Kinematic intensities with the Lorentz-polarization factor, no thermal factor.

Atomic structure:
```
Pr6Sb2Te3I
1.0
9.936 -2.282 0.000
9.936 2.282 0.000
-2.016 0.000 8.879
Pr Sb Te I
6 2 3 1
Cartesian
-0.436 0.000 2.450
4.568 0.000 8.001
5.737 0.000 3.731
12.119 0.000 5.148
13.288 0.000 0.877
18.292 0.000 6.429
2.654 0.000 2.957
15.201 0.000 5.922
1.480 0.000 7.415
8.928 0.000 4.439
16.376 0.000 1.464
9.936 0.000 0.000
```

Most intense lines, 10 to 90 degrees two-theta, sorted by position:
27.66°, intensity 100; 39.39°, intensity 24; 39.54°, intensity 25; 39.62°, intensity 25; 48.87°, intensity 13; 64.75°, intensity 16

Computed X-ray powder pattern of Pr3SeI3 for Cu Ka, from a structure optimized by DFT (PBE).
Kinematic intensities with the Lorentz-polarization factor, no thermal factor.

Atomic structure:
```
Pr3SeI3
1.0
3.726 2.151 11.554
-3.726 2.151 11.554
0.000 -4.303 11.554
Pr Se I
6 2 6
Cartesian
-1.256 -2.127 13.142
-2.470 0.024 21.522
-1.214 2.151 13.142
1.214 -2.151 21.522
2.470 -0.024 13.142
1.256 2.127 21.522
0.000 0.000 11.555
0.000 0.000 23.109
-2.486 0.004 15.233
-1.247 -2.151 19.430
1.240 -2.155 15.233
-1.240 2.155 19.430
1.247 2.151 15.233
2.486 -0.004 19.430
```

Most intense lines, 10 to 90 degrees two-theta, sorted by position:
23.88°, intensity 19; 28.50°, intensity 100; 39.47°, intensity 28; 41.99°, intensity 31; 51.54°, intensity 19; 68.58°, intensity 16

Computed X-ray powder pattern of Pr8SiSe3I4 for Cu Ka, from a structure optimized by DFT (PBE).
Kinematic intensities with the Lorentz-polarization factor, no thermal factor.

Atomic structure:
```
Pr8SiSe3I4
1.0
4.354 2.514 7.671
-4.354 2.514 7.671
0.000 -5.028 7.671
Pr Si Se I
8 1 3 4
Cartesian
0.000 0.000 5.304
-2.138 -1.234 12.999
0.000 -2.469 10.014
-2.138 1.234 10.014
2.138 -1.234 12.999
0.000 2.469 12.999
2.138 1.234 10.014
0.000 0.000 17.709
0.000 0.000 11.506
-4.354 0.000 11.506
-2.177 1.257 3.835
2.177 1.257 3.835
0.000 0.000 0.000
-2.177 -1.257 7.671
-2.177 1.257 15.342
0.000 2.514 7.671
```

Most intense lines, 10 to 90 degrees two-theta, sorted by position:
28.30°, intensity 100; 30.65°, intensity 19; 39.40°, intensity 27; 41.48°, intensity 40; 50.97°, intensity 19; 67.73°, intensity 16

Computed X-ray powder pattern of Pr4Si2I for Cu Ka, from a structure optimized by DFT (PBE).
Kinematic intensities with the Lorentz-polarization factor, no thermal factor.

Atomic structure:
```
Pr4Si2I
1.0
-4.643 4.643 4.651
4.643 -4.643 4.651
4.643 4.643 -4.651
Pr Si I
8 4 2
Cartesian
6.261 0.684 0.662
3.959 3.024 -1.664
0.684 3.024 -0.662
0.684 1.618 2.988
3.959 1.618 3.990
1.618 -0.684 6.315
3.024 5.326 1.664
-1.618 3.959 5.313
2.321 -1.229 3.489
3.413 2.321 1.163
2.321 5.872 -1.163
1.229 2.321 5.814
0.000 0.000 0.000
0.000 4.643 2.326
```

Most intense lines, 10 to 90 degrees two-theta, sorted by position:
23.45°, intensity 26; 27.14°, intensity 19; 30.42°, intensity 100; 36.18°, intensity 71; 47.96°, intensity 22; 50.06°, intensity 34

Computed X-ray powder pattern of Pr2Si2I for Cu Ka, from a structure optimized by DFT (PBE).
Kinematic intensities with the Lorentz-polarization factor, no thermal factor.

Atomic structure:
```
Pr2Si2I
1.0
-4.133 8.831 1.972
4.133 -8.831 1.972
4.133 8.831 -1.972
Pr Si I
4 4 2
Cartesian
2.067 10.560 -0.986
2.067 1.728 0.986
-2.067 7.103 0.986
2.067 7.103 0.986
4.133 8.122 -0.985
4.133 -0.709 0.985
0.000 9.541 0.986
0.000 0.709 2.957
0.000 4.416 0.880
4.133 4.416 1.092
```

Most intense lines, 10 to 90 degrees two-theta, sorted by position:
23.11°, intensity 57; 23.77°, intensity 20; 29.60°, intensity 58; 30.36°, intensity 25; 34.94°, intensity 100; 42.53°, intensity 29

Computed X-ray powder pattern of PrSmI for Cu Ka, from a structure optimized by DFT (PBE).
Kinematic intensities with the Lorentz-polarization factor, no thermal factor.

Atomic structure:
```
PrSmI
1.0
-1.883 1.883 7.223
1.883 -1.883 7.223
1.883 1.883 -7.223
Pr Sm I
1 1 1
Cartesian
0.000 0.000 0.000
0.000 0.000 9.762
0.000 0.000 4.820
```

Most intense lines, 10 to 90 degrees two-theta, sorted by position:
30.13°, intensity 100; 33.66°, intensity 37; 37.35°, intensity 14; 48.35°, intensity 13; 51.15°, intensity 22; 58.03°, intensity 31

Computed X-ray powder pattern of PrSnI for Cu Ka, from a structure optimized by DFT (PBE).
Kinematic intensities with the Lorentz-polarization factor, no thermal factor.

Atomic structure:
```
PrSnI
1.0
-2.171 2.171 10.855
2.171 -2.171 10.855
2.171 2.171 -10.855
Pr Sn I
2 2 2
Cartesian
0.000 0.000 2.403
0.000 0.000 19.307
2.171 0.000 0.000
0.000 2.171 0.000
0.000 0.000 6.993
0.000 0.000 14.716
```

Most intense lines, 10 to 90 degrees two-theta, sorted by position:
29.08°, intensity 100; 30.25°, intensity 42; 33.53°, intensity 87; 41.59°, intensity 55; 42.89°, intensity 32; 51.55°, intensity 34

Computed X-ray powder pattern of PrSnI5 for Cu Ka, from a structure optimized by DFT (PBE).
Kinematic intensities with the Lorentz-polarization factor, no thermal factor.

Atomic structure:
```
PrSnI5
1.0
9.227 0.000 0.000
0.000 4.571 0.000
-1.123 0.000 15.150
Pr Sn I
2 2 10
Cartesian
0.681 1.143 2.294
7.423 3.428 12.856
3.296 3.428 5.590
4.808 1.143 9.559
0.202 1.143 11.991
0.968 1.143 5.576
1.670 3.428 0.199
2.672 3.428 8.637
3.744 1.143 2.837
4.360 3.428 12.312
5.432 1.143 6.513
6.435 1.143 14.951
7.137 3.428 9.574
7.902 3.428 3.159
```

Most intense lines, 10 to 90 degrees two-theta, sorted by position:
10.87°, intensity 100; 25.06°, intensity 61; 27.55°, intensity 81; 29.44°, intensity 55; 37.46°, intensity 33; 39.43°, intensity 38